# 1
Simulated powder XRD pattern of Pa3Si3Tc2 for Cu Ka, from a DFT-relaxed cell (PBE, Alexandria).
No peak broadening, texture or thermal motion is included.

Main lines, in order of falling intensity (2θ from 10° to 80°):
two_theta	I_rel
36.82	100
22.21	45
25.83	36
41.19	20
43.93	16
33.66	14
72.20	14
43.18	13
47.28	13
76.06	12

Atomic structure:
```
Pa3Si3Tc2
1.0
4.122 0.000 0.000
0.000 4.384 0.000
0.000 0.000 16.760
Pa Si Tc
6 6 4
direct
0.000 0.000 0.000
0.000 0.500 0.134
0.000 0.500 0.866
0.500 0.000 0.366
0.500 0.000 0.634
0.500 0.500 0.500
0.000 0.000 0.500
0.000 0.500 0.336
0.000 0.500 0.664
0.500 0.000 0.164
0.500 0.000 0.836
0.500 0.500 0.000
0.000 0.000 0.250
0.000 0.000 0.750
0.500 0.500 0.250
0.500 0.500 0.750
```

# 2
Simulated powder XRD pattern of Pa12Si6Tc for Cu Ka, from a DFT-relaxed cell (PBE, Alexandria).
No peak broadening, texture or thermal motion is included.

Main lines, in order of falling intensity (2θ from 10° to 80°):
two_theta	I_rel
36.59	100
38.68	80
27.05	47
36.74	39
29.69	31
20.96	23
55.77	16
68.56	16
64.60	14
46.10	13

Atomic structure:
```
Pa12Si6Tc
1.0
5.214 3.011 4.236
-5.214 3.011 4.236
0.000 -6.021 4.236
Pa Si Tc
12 6 1
direct
0.015 0.304 0.920
0.080 0.985 0.696
0.119 0.348 0.450
0.304 0.920 0.015
0.348 0.450 0.119
0.450 0.119 0.348
0.550 0.881 0.652
0.652 0.550 0.881
0.696 0.080 0.985
0.881 0.652 0.550
0.920 0.015 0.304
0.985 0.696 0.080
0.249 0.606 0.750
0.250 0.751 0.394
0.394 0.250 0.751
0.606 0.750 0.249
0.750 0.249 0.606
0.751 0.394 0.250
0.500 0.500 0.500
```